No. 1
Simulated X-ray diffraction stick pattern
Compound: TlTc3O9
Radiation: a wavelength of 1.5418 Å
Structure: a crystal structure in Alexandria, relaxed with GGA-PBE
Lines closer than 0.1° are merged.

Atomic structure:
Unit cell a=8.343 b=8.343 c=8.736 alpha=90.00 beta=90.00 gamma=103.72
Fractional positions:
Tl1 0.106 0.106 0.000
Tl2 0.894 0.894 0.500
Tc1 0.269 0.269 0.500
Tc2 0.279 0.654 0.956
Tc3 0.346 0.721 0.544
Tc4 0.654 0.279 0.044
Tc5 0.721 0.346 0.456
Tc6 0.731 0.731 0.000
O1 0.163 0.767 0.053
O2 0.175 0.189 0.331
O3 0.189 0.175 0.669
O4 0.208 0.443 0.980
O5 0.233 0.837 0.447
O6 0.286 0.499 0.490
O7 0.287 0.713 0.750
O8 0.443 0.208 0.020
O9 0.499 0.286 0.510
O10 0.501 0.714 0.010
O11 0.557 0.792 0.520
O12 0.713 0.287 0.250
O13 0.714 0.501 0.990
O14 0.767 0.163 0.947
O15 0.792 0.557 0.480
O16 0.811 0.825 0.169
O17 0.825 0.811 0.831
O18 0.837 0.233 0.553

Top 8 peaks for 10 to 80 degrees two-theta, by angle:
2θ (°)  I (rel.)
20.33  1000
21.93  367
22.07  686
24.21  718
28.74  506
30.19  407
41.24  287
44.67  283

***

No. 2
Simulated X-ray diffraction stick pattern
Compound: Th7Tl2In2
Radiation: a wavelength of 1.5418 Å
Structure: a crystal structure in Alexandria, relaxed with GGA-PBE
Lines closer than 0.1° are merged.

Atomic structure:
Unit cell a=9.385 b=9.385 c=9.385 alpha=149.65 beta=64.78 gamma=124.27
Fractional positions:
Th1 0.000 0.000 0.000
Th2 0.049 0.391 0.659
Th3 0.192 0.823 0.369
Th4 0.454 0.823 0.631
Th5 0.493 0.642 0.851
Th6 0.732 0.391 0.341
Th7 0.791 0.642 0.149
Tl1 0.310 0.103 0.208
Tl2 0.895 0.103 0.792
In1 0.380 0.380 0.000
In2 0.647 0.147 0.500

Top 8 peaks for 10 to 80 degrees two-theta, by angle:
2θ (°)  I (rel.)
27.84  274
30.73  428
31.10  141
32.18  1000
33.93  147
36.58  322
50.75  126
63.10  149

***

No. 3
Simulated X-ray diffraction stick pattern
Compound: Sm7Dy3Sc
Radiation: a wavelength of 1.5418 Å
Structure: a crystal structure in Alexandria, relaxed with GGA-PBE
Lines closer than 0.1° are merged.

Atomic structure:
Unit cell a=8.478 b=8.478 c=5.782 alpha=109.93 beta=109.93 gamma=83.44
Fractional positions:
Sm1 0.000 0.000 0.000
Sm2 0.098 0.521 0.310
Sm3 0.286 0.286 0.787
Sm4 0.479 0.902 0.690
Sm5 0.521 0.098 0.310
Sm6 0.714 0.714 0.213
Sm7 0.902 0.479 0.690
Dy1 0.296 0.704 0.000
Dy2 0.500 0.500 0.500
Dy3 0.704 0.296 0.000
Sc1 0.000 0.000 0.500

Top 8 peaks for 10 to 80 degrees two-theta, by angle:
2θ (°)  I (rel.)
23.42  128
28.35  141
30.93  334
31.75  263
32.56  1000
44.91  202
56.05  262
62.00  118

***

No. 4
Simulated X-ray diffraction stick pattern
Compound: NdEuGaIr
Radiation: a wavelength of 1.5418 Å
Structure: a crystal structure in Alexandria, relaxed with GGA-PBE
Lines closer than 0.1° are merged.

Atomic structure:
Unit cell a=5.103 b=5.103 c=5.103 alpha=60.00 beta=60.00 gamma=60.00
Fractional positions:
Nd1 0.000 0.000 0.000
Eu1 0.500 0.500 0.500
Ga1 0.750 0.750 0.750
Ir1 0.250 0.250 0.250

Top 8 peaks for 10 to 80 degrees two-theta, by angle:
2θ (°)  I (rel.)
21.33  98
35.17  1000
41.50  55
50.59  178
55.50  24
63.11  366
74.35  113
78.39  19

***

No. 5
Simulated X-ray diffraction stick pattern
Compound: Cu2Pb5Cl12
Radiation: a wavelength of 1.5418 Å
Structure: a crystal structure in Alexandria, relaxed with GGA-PBE
Lines closer than 0.1° are merged.

Atomic structure:
Unit cell a=8.696 b=8.696 c=9.489 alpha=106.14 beta=106.14 gamma=53.03
Fractional positions:
Cu1 0.172 0.828 0.000
Cu2 0.828 0.172 0.000
Pb1 0.000 0.000 0.500
Pb2 0.316 0.316 0.158
Pb3 0.318 0.318 0.663
Pb4 0.682 0.682 0.337
Pb5 0.684 0.684 0.842
Cl1 0.007 0.007 0.208
Cl2 0.090 0.593 0.417
Cl3 0.123 0.578 0.929
Cl4 0.407 0.910 0.583
Cl5 0.422 0.877 0.071
Cl6 0.497 0.497 0.267
Cl7 0.503 0.503 0.733
Cl8 0.578 0.123 0.929
Cl9 0.593 0.090 0.417
Cl10 0.877 0.422 0.071
Cl11 0.910 0.407 0.583
Cl12 0.993 0.993 0.792

Top 8 peaks for 10 to 80 degrees two-theta, by angle:
2θ (°)  I (rel.)
21.35  1000
21.96  954
22.91  235
34.91  285
35.03  282
36.44  224
37.92  268
43.03  207

***

No. 6
Simulated X-ray diffraction stick pattern
Compound: La2Ti3O9
Radiation: a wavelength of 1.5418 Å
Structure: a crystal structure in Alexandria, relaxed with GGA-PBE
Lines closer than 0.1° are merged.

Atomic structure:
Unit cell a=6.945 b=7.770 c=8.746 alpha=89.88 beta=69.56 gamma=88.62
Fractional positions:
La1 0.111 0.273 0.484
La2 0.190 0.637 0.813
La3 0.810 0.363 0.187
La4 0.889 0.727 0.516
Ti1 0.178 0.130 0.889
Ti2 0.272 0.954 0.158
Ti3 0.381 0.354 0.070
Ti4 0.619 0.646 0.930
Ti5 0.728 0.046 0.842
Ti6 0.822 0.870 0.111
O1 0.108 0.538 0.606
O2 0.133 0.891 0.009
O3 0.148 0.179 0.196
O4 0.160 0.365 0.944
O5 0.185 0.887 0.359
O6 0.228 0.108 0.684
O7 0.345 0.597 0.065
O8 0.442 0.122 0.926
O9 0.447 0.327 0.254
O10 0.553 0.673 0.746
O11 0.558 0.878 0.074
O12 0.655 0.403 0.935
O13 0.772 0.892 0.316
O14 0.815 0.113 0.641
O15 0.840 0.635 0.056
O16 0.852 0.821 0.804
O17 0.867 0.109 0.991
O18 0.892 0.462 0.394

Top 8 peaks for 10 to 80 degrees two-theta, by angle:
2θ (°)  I (rel.)
13.61  730
20.17  534
23.02  513
25.44  1000
28.45  818
31.59  732
32.79  333
34.71  371

***

No. 7
Simulated X-ray diffraction stick pattern
Compound: LiPuSnSe3
Radiation: a wavelength of 1.5418 Å
Structure: a crystal structure in Alexandria, relaxed with GGA-PBE
Lines closer than 0.1° are merged.

Atomic structure:
Unit cell a=8.837 b=3.991 c=8.987 alpha=90.00 beta=99.34 gamma=90.00
Fractional positions:
Li1 0.095 0.250 0.084
Li2 0.905 0.750 0.916
Pu1 0.156 0.250 0.707
Pu2 0.844 0.750 0.293
Sn1 0.351 0.750 0.327
Sn2 0.649 0.250 0.673
Se1 0.102 0.250 0.371
Se2 0.199 0.750 0.959
Se3 0.391 0.750 0.643
Se4 0.609 0.250 0.357
Se5 0.801 0.250 0.041
Se6 0.898 0.750 0.629

Top 8 peaks for 10 to 80 degrees two-theta, by angle:
2θ (°)  I (rel.)
21.20  376
30.24  625
30.36  1000
30.94  725
37.89  348
38.52  564
40.82  473
41.00  363

***

No. 8
Simulated X-ray diffraction stick pattern
Compound: Hf8As2P
Radiation: a wavelength of 1.5418 Å
Structure: a crystal structure in Alexandria, relaxed with GGA-PBE
Lines closer than 0.1° are merged.

Atomic structure:
Unit cell a=7.003 b=7.003 c=5.192 alpha=99.17 beta=99.17 gamma=112.51
Fractional positions:
Hf1 0.081 0.325 0.614
Hf2 0.234 0.766 0.000
Hf3 0.325 0.081 0.614
Hf4 0.372 0.372 0.170
Hf5 0.628 0.628 0.830
Hf6 0.675 0.919 0.386
Hf7 0.766 0.234 0.000
Hf8 0.919 0.675 0.386
As1 0.314 0.686 0.500
As2 0.686 0.314 0.500
P1 0.000 0.000 0.000

Top 8 peaks for 10 to 80 degrees two-theta, by angle:
2θ (°)  I (rel.)
29.76  379
33.56  593
33.95  768
35.47  655
35.74  1000
36.32  793
39.27  575
43.13  432

***

No. 9
Simulated X-ray diffraction stick pattern
Compound: TbUS2O
Radiation: a wavelength of 1.5418 Å
Structure: a crystal structure in Alexandria, relaxed with GGA-PBE
Lines closer than 0.1° are merged.

Atomic structure:
Unit cell a=3.843 b=3.843 c=13.495 alpha=90.00 beta=90.00 gamma=90.00
Fractional positions:
Tb1 0.250 0.250 0.107
Tb2 0.750 0.750 0.893
U1 0.250 0.250 0.598
U2 0.750 0.750 0.402
S1 0.250 0.250 0.310
S2 0.250 0.250 0.895
S3 0.750 0.750 0.105
S4 0.750 0.750 0.690
O1 0.250 0.750 0.500
O2 0.750 0.250 0.500

Top 8 peaks for 10 to 80 degrees two-theta, by angle:
2θ (°)  I (rel.)
13.12  166
26.42  288
26.70  1000
32.96  574
35.40  261
42.73  389
47.31  240
55.15  292

***

No. 10
Simulated X-ray diffraction stick pattern
Compound: Ce3B2C6
Radiation: a wavelength of 1.5418 Å
Structure: a crystal structure in Alexandria, relaxed with GGA-PBE
Lines closer than 0.1° are merged.

Atomic structure:
Unit cell a=10.723 b=10.723 c=10.723 alpha=161.01 beta=161.01 gamma=26.98
Fractional positions:
Ce1 0.000 0.000 0.000
Ce2 0.181 0.181 0.000
Ce3 0.819 0.819 0.000
B1 0.379 0.379 0.000
B2 0.621 0.621 0.000
C1 0.087 0.587 0.500
C2 0.304 0.304 0.000
C3 0.413 0.913 0.500
C4 0.587 0.087 0.500
C5 0.696 0.696 0.000
C6 0.913 0.413 0.500

Top 8 peaks for 10 to 80 degrees two-theta, by angle:
2θ (°)  I (rel.)
25.57  1000
33.21  789
35.90  418
44.63  473
51.67  202
54.95  247
58.53  285
62.82  253

***

No. 11
Simulated X-ray diffraction stick pattern
Compound: Pr2Zn2Pt3
Radiation: a wavelength of 1.5418 Å
Structure: a crystal structure in Alexandria, relaxed with GGA-PBE
Lines closer than 0.1° are merged.

Atomic structure:
Unit cell a=9.745 b=9.745 c=7.452 alpha=90.00 beta=90.00 gamma=155.42
Fractional positions:
Pr1 0.060 0.940 0.750
Pr2 0.155 0.845 0.250
Pr3 0.845 0.155 0.750
Pr4 0.940 0.060 0.250
Zn1 0.307 0.693 0.054
Zn2 0.307 0.693 0.446
Zn3 0.693 0.307 0.554
Zn4 0.693 0.307 0.946
Pt1 0.224 0.776 0.750
Pt2 0.435 0.565 0.562
Pt3 0.435 0.565 0.938
Pt4 0.565 0.435 0.062
Pt5 0.565 0.435 0.438
Pt6 0.776 0.224 0.250

Top 8 peaks for 10 to 80 degrees two-theta, by angle:
2θ (°)  I (rel.)
25.67  274
32.64  1000
34.15  935
37.79  217
40.98  339
43.63  401
44.86  314
46.79  337

***

No. 12
Simulated X-ray diffraction stick pattern
Compound: CaTb7Tm2
Radiation: a wavelength of 1.5418 Å
Structure: a crystal structure in Alexandria, relaxed with GGA-PBE
Lines closer than 0.1° are merged.

Atomic structure:
Unit cell a=9.461 b=9.461 c=7.144 alpha=101.02 beta=101.02 gamma=30.83
Fractional positions:
Ca1 0.000 0.000 0.000
Tb1 0.000 0.000 0.500
Tb2 0.203 0.203 0.101
Tb3 0.397 0.397 0.206
Tb4 0.397 0.397 0.690
Tb5 0.603 0.603 0.310
Tb6 0.603 0.603 0.794
Tb7 0.797 0.797 0.899
Tm1 0.200 0.200 0.601
Tm2 0.800 0.800 0.399

Top 8 peaks for 10 to 80 degrees two-theta, by angle:
2θ (°)  I (rel.)
30.69  1000
35.52  337
35.70  168
51.11  119
51.25  238
60.75  142
60.87  139
61.05  142

***

No. 13
Simulated X-ray diffraction stick pattern
Compound: Ce4CdIr2
Radiation: a wavelength of 1.5418 Å
Structure: a crystal structure in Alexandria, relaxed with GGA-PBE
Lines closer than 0.1° are merged.

Atomic structure:
Unit cell a=13.257 b=13.257 c=13.257 alpha=18.10 beta=18.10 gamma=18.10
Fractional positions:
Ce1 0.106 0.106 0.106
Ce2 0.303 0.303 0.303
Ce3 0.697 0.697 0.697
Ce4 0.894 0.894 0.894
Cd1 0.500 0.500 0.500
Ir1 0.400 0.400 0.400
Ir2 0.600 0.600 0.600

Top 8 peaks for 10 to 80 degrees two-theta, by angle:
2θ (°)  I (rel.)
13.58  189
24.76  178
26.31  244
33.78  1000
43.40  522
53.27  250
56.10  234
73.48  210